HoErSn4: calculated powder X-ray diffraction pattern (CuKα), based on a crystal structure in OQMD, relaxed with GGA-PBE.
Lines closer than 0.1° are merged.

Top 10 peaks for 5° ≤ 2θ ≤ 70°, sorted by position:
d = 2.713 Å, 33.0°, rel. 20
d = 2.688 Å, 33.3°, rel. 100
d = 2.300 Å, 39.2°, rel. 5
d = 2.207 Å, 40.9°, rel. 15
d = 2.169 Å, 41.6°, rel. 15
d = 1.712 Å, 53.5°, rel. 11
d = 1.694 Å, 54.1°, rel. 10
d = 1.562 Å, 59.2°, rel. 11
d = 1.547 Å, 59.8°, rel. 10
d = 1.350 Å, 69.7°, rel. 12

Structure:
Cell: 4.337 8.434 8.434 Å, 30.35 90.00 90.00°
Fractional positions:
Ho  0.000  0.000  0.000
Er  0.500  0.197  0.197
Sn  0.000  0.350  0.350
Sn  0.000  0.663  0.663
Sn  0.500  0.534  0.534
Sn  0.500  0.846  0.846



HoEr2Co2B2P3: calculated powder X-ray diffraction pattern (CuKα), based on a crystal structure in OQMD, relaxed with GGA-PBE.
Lines closer than 0.1° are merged.

Top 10 peaks for 5° ≤ 2θ ≤ 70°, sorted by position:
d = 3.389 Å, 26.3°, rel. 100
d = 2.877 Å, 31.1°, rel. 26
d = 2.724 Å, 32.9°, rel. 45
d = 2.709 Å, 33.1°, rel. 49
d = 2.629 Å, 34.1°, rel. 25
d = 2.426 Å, 37.1°, rel. 28
d = 2.172 Å, 41.6°, rel. 51
d = 1.916 Å, 47.5°, rel. 41
d = 1.668 Å, 55.1°, rel. 28
d = 1.567 Å, 58.9°, rel. 33

Structure:
Cell: 11.227 11.227 11.227 Å, 160.35 160.35 27.93°
Fractional positions:
Ho  0.000  0.000  0.000
Er  0.362  0.362  0.000
Er  0.638  0.638  0.000
Co  0.250  0.750  0.500
Co  0.750  0.250  0.500
B  0.215  0.215  0.000
B  0.785  0.785  0.000
P  0.124  0.124  0.000
P  0.500  0.500  0.000
P  0.876  0.876  0.000



Please write out number 2 again, unchanged.
HoEr2Co2B2P3: calculated powder X-ray diffraction pattern (CuKα), based on a crystal structure in OQMD, relaxed with GGA-PBE.
Lines closer than 0.1° are merged.

Top 10 peaks for 5° ≤ 2θ ≤ 70°, sorted by position:
d = 3.389 Å, 26.3°, rel. 100
d = 2.877 Å, 31.1°, rel. 26
d = 2.724 Å, 32.9°, rel. 45
d = 2.709 Å, 33.1°, rel. 49
d = 2.629 Å, 34.1°, rel. 25
d = 2.426 Å, 37.1°, rel. 28
d = 2.172 Å, 41.6°, rel. 51
d = 1.916 Å, 47.5°, rel. 41
d = 1.668 Å, 55.1°, rel. 28
d = 1.567 Å, 58.9°, rel. 33

Structure:
Cell: 11.227 11.227 11.227 Å, 160.35 160.35 27.93°
Fractional positions:
Ho  0.000  0.000  0.000
Er  0.362  0.362  0.000
Er  0.638  0.638  0.000
Co  0.250  0.750  0.500
Co  0.750  0.250  0.500
B  0.215  0.215  0.000
B  0.785  0.785  0.000
P  0.124  0.124  0.000
P  0.500  0.500  0.000
P  0.876  0.876  0.000